# 1
Computed powder XRD pattern of TlNiPt for Cu Kα (weighted mean of Kα1 and Kα2), from a structure optimized by DFT (GGA-PBE).
Lines closer than 0.1° are merged.

Atomic structure:
```
TlNiPt
1.0
8.3868 0.0000 0.0000
0.0000 4.4751 0.0000
-1.5349 0.0000 5.5583
Tl Ni Pt
4 4 4
Direct
0.1183 0.0000 0.3114
0.3817 0.5000 0.6886
0.6183 0.5000 0.3114
0.8817 0.0000 0.6886
0.0610 0.5000 0.7224
0.4390 0.0000 0.2776
0.5610 0.0000 0.7224
0.9390 0.5000 0.2776
0.2362 0.0000 0.8462
0.2638 0.5000 0.1538
0.7362 0.5000 0.8462
0.7638 0.0000 0.1538
```

Peak list (10 most intense, 15° ≤ 2θ ≤ 90°, sorted by position)
d/Å  Position (°2θ)  intensity
4.042  22.0  22
3.915  22.7  28
2.920  30.6  35
2.779  32.2  42
2.418  37.2  87
2.328  38.7  100
2.309  39.0  27
2.238  40.3  64
2.140  42.2  28
1.978  45.9  48

# 2
Computed powder XRD pattern of Tm8Ni3Pt2 for Cu Kα (weighted mean of Kα1 and Kα2), from a structure optimized by DFT (GGA-PBE).
Lines closer than 0.1° are merged.

Atomic structure:
```
Tm8Ni3Pt2
1.0
7.1833 -3.5386 0.0000
7.1833 3.5386 0.0000
-1.6739 0.0000 6.2394
Tm Ni Pt
8 3 2
Direct
0.0845 0.0845 0.3721
0.1331 0.6233 0.1176
0.3490 0.3490 0.6151
0.3767 0.8669 0.8824
0.6233 0.1331 0.1176
0.6510 0.6510 0.3849
0.8669 0.3767 0.8824
0.9155 0.9155 0.6279
0.3179 0.6821 0.5000
0.5000 0.5000 0.0000
0.6821 0.3179 0.5000
0.2346 0.2346 0.1865
0.7654 0.7654 0.8135
```

Peak list (10 most intense, 15° ≤ 2θ ≤ 90°, sorted by position)
d/Å  Position (°2θ)  intensity
3.078  29.0  52
2.957  30.2  81
2.689  33.3  82
2.621  34.2  62
2.604  34.4  100
2.464  36.5  72
2.169  41.6  55
2.142  42.2  50
1.838  49.6  62
1.464  63.6  40

# 3
Computed powder XRD pattern of Tm3Ni2Pt for Cu Kα (weighted mean of Kα1 and Kα2), from a structure optimized by DFT (GGA-PBE).
Lines closer than 0.1° are merged.

Atomic structure:
```
Tm3Ni2Pt
1.0
11.3311 0.0000 0.0000
0.0000 3.9765 0.0000
0.0000 0.0000 11.1133
Tm Ni Pt
12 8 4
Direct
0.0527 0.2500 0.1219
0.1219 0.7500 0.5650
0.2054 0.2500 0.8170
0.2946 0.7500 0.3170
0.3781 0.2500 0.0650
0.4473 0.7500 0.6219
0.5527 0.2500 0.3781
0.6219 0.7500 0.9350
0.7054 0.2500 0.6830
0.7946 0.7500 0.1830
0.8781 0.2500 0.4350
0.9473 0.7500 0.8781
0.0043 0.7500 0.3015
0.1808 0.7500 0.0007
0.3192 0.2500 0.5007
0.4957 0.2500 0.8015
0.5043 0.7500 0.1985
0.6808 0.7500 0.4993
0.8192 0.2500 0.9993
0.9957 0.2500 0.6985
0.1247 0.2500 0.3755
0.3753 0.7500 0.8755
0.6247 0.2500 0.1245
0.8753 0.7500 0.6245
```

Peak list (10 most intense, 15° ≤ 2θ ≤ 90°, sorted by position)
d/Å  Position (°2θ)  intensity
3.124  28.6  41
2.808  31.9  35
2.745  32.6  22
2.711  33.0  87
2.698  33.2  26
2.456  36.6  100
2.259  39.9  37
2.113  42.8  40
1.988  45.6  47
1.915  47.5  27

# 4
Computed powder XRD pattern of Tm3NiPt2 for Cu Kα (weighted mean of Kα1 and Kα2), from a structure optimized by DFT (GGA-PBE).
Lines closer than 0.1° are merged.

Atomic structure:
```
Tm3NiPt2
1.0
11.2385 0.0000 0.0000
0.0000 4.0766 0.0000
0.0000 0.0000 11.1470
Tm Ni Pt
12 4 8
Direct
0.0486 0.2500 0.1247
0.1212 0.7500 0.5589
0.2185 0.2500 0.8057
0.2815 0.7500 0.3057
0.3788 0.2500 0.0589
0.4514 0.7500 0.6247
0.5486 0.2500 0.3753
0.6212 0.7500 0.9411
0.7185 0.2500 0.6943
0.7815 0.7500 0.1943
0.8788 0.2500 0.4411
0.9514 0.7500 0.8753
0.1251 0.2500 0.3740
0.3749 0.7500 0.8740
0.6251 0.2500 0.1260
0.8749 0.7500 0.6260
0.0058 0.7500 0.3091
0.1836 0.7500 0.9993
0.3164 0.2500 0.4993
0.4942 0.2500 0.8091
0.5058 0.7500 0.1909
0.6836 0.7500 0.5007
0.8164 0.2500 0.0007
0.9942 0.2500 0.6909
```

Peak list (10 most intense, 15° ≤ 2θ ≤ 90°, sorted by position)
d/Å  Position (°2θ)  intensity
2.839  31.5  75
2.746  32.6  87
2.668  33.6  52
2.509  35.8  40
2.472  36.3  100
2.265  39.8  54
2.129  42.5  34
2.038  44.4  72
1.916  47.5  47
1.396  67.0  33